# 1
Simulated X-ray diffraction stick pattern
Compound: CsNaCuI4
Radiation: Cu Kα
Structure: a cell relaxed with GGA-PBE
Kinematic intensities with the Lorentz-polarization factor, no thermal factor.

Crystal structure
```
CsNaCuI4
1.0
8.265 0.000 0.000
0.000 7.037 0.000
-2.909 0.000 10.048
Cs Na Cu I
2 2 2 8
direct
0.235 0.250 0.440 Cs
0.765 0.750 0.560 Cs
0.201 0.250 0.937 Na
0.799 0.750 0.063 Na
0.266 0.750 0.168 Cu
0.734 0.250 0.832 Cu
0.083 0.750 0.340 I
0.087 0.750 0.921 I
0.500 0.006 0.216 I
0.500 0.494 0.216 I
0.500 0.506 0.784 I
0.500 0.994 0.784 I
0.913 0.250 0.079 I
0.917 0.250 0.660 I
```

Peak list (10 most intense, 2θ from 15° to 90°, by intensity)
27.73°, I 100
24.41°, I 84
23.44°, I 58
26.68°, I 52
31.28°, I 40
25.81°, I 39
20.43°, I 37
31.03°, I 33
34.32°, I 32
27.55°, I 31

---

# 2
Simulated X-ray diffraction stick pattern
Compound: Cs2CuIO6
Radiation: Cu Kα
Structure: a cell relaxed with GGA-PBE
Kinematic intensities with the Lorentz-polarization factor, no thermal factor.

Crystal structure
```
Cs2CuIO6
1.0
6.547 0.000 0.000
-3.273 5.669 0.000
0.000 0.000 5.280
Cs Cu I O
2 1 1 6
direct
0.333 0.667 0.277 Cs
0.667 0.333 0.723 Cs
0.000 0.000 0.500 Cu
0.000 0.000 0.000 I
0.131 0.263 0.772 O
0.131 0.869 0.772 O
0.263 0.131 0.228 O
0.737 0.869 0.772 O
0.869 0.131 0.228 O
0.869 0.737 0.228 O
```

Peak list (10 most intense, 2θ from 15° to 90°, by intensity)
27.24°, I 100
23.02°, I 79
35.96°, I 46
37.58°, I 37
55.21°, I 35
47.03°, I 29
15.63°, I 26
45.69°, I 19
48.15°, I 19
56.20°, I 17

---

# 3
Simulated X-ray diffraction stick pattern
Compound: Cs2CuPdI6
Radiation: Cu Kα
Structure: a cell relaxed with GGA-PBE
Kinematic intensities with the Lorentz-polarization factor, no thermal factor.

Crystal structure
```
Cs2CuPdI6
1.0
-4.107 4.107 5.611
4.107 -4.107 5.611
4.107 4.107 -5.611
Cs Cu Pd I
2 1 1 6
direct
0.250 0.750 0.500 Cs
0.750 0.250 0.500 Cs
0.000 0.000 0.000 Cu
0.500 0.500 0.000 Pd
0.232 0.232 0.000 I
0.263 0.263 0.526 I
0.263 0.737 0.000 I
0.737 0.263 0.000 I
0.737 0.737 0.474 I
0.768 0.768 0.000 I
```

Peak list (10 most intense, 2θ from 15° to 90°, by intensity)
26.90°, I 100
30.79°, I 72
44.92°, I 48
31.90°, I 32
52.42°, I 29
44.10°, I 26
55.45°, I 25
81.70°, I 15
53.86°, I 13
72.06°, I 12

---

# 4
Simulated X-ray diffraction stick pattern
Compound: CsRbCu3I6
Radiation: Cu Kα
Structure: a cell relaxed with GGA-PBE
Kinematic intensities with the Lorentz-polarization factor, no thermal factor.

Crystal structure
```
CsRbCu3I6
1.0
4.830 2.789 5.827
-4.830 2.789 5.827
0.000 -5.577 5.827
Cs Rb Cu I
1 1 3 6
direct
0.000 0.000 0.000 Cs
0.543 0.543 0.543 Rb
0.079 0.279 0.399 Cu
0.279 0.399 0.079 Cu
0.399 0.079 0.279 Cu
0.018 0.448 0.635 I
0.135 0.940 0.469 I
0.448 0.635 0.018 I
0.469 0.135 0.940 I
0.635 0.018 0.448 I
0.940 0.469 0.135 I
```

Peak list (10 most intense, 2θ from 15° to 90°, by intensity)
23.93°, I 100
23.58°, I 73
29.56°, I 37
28.69°, I 33
46.98°, I 32
39.16°, I 29
48.56°, I 23
30.05°, I 21
32.10°, I 18
45.00°, I 18

---

# 5
Simulated X-ray diffraction stick pattern
Compound: CsTbCu2I6
Radiation: Cu Kα
Structure: a cell relaxed with GGA-PBE
Kinematic intensities with the Lorentz-polarization factor, no thermal factor.

Crystal structure
```
CsTbCu2I6
1.0
7.889 -7.577 0.000
7.889 7.577 0.000
-0.576 0.000 7.738
Cs Tb Cu I
2 2 4 12
direct
0.079 0.921 0.750 Cs
0.921 0.079 0.250 Cs
0.276 0.724 0.250 Tb
0.724 0.276 0.750 Tb
0.346 0.482 0.732 Cu
0.482 0.346 0.232 Cu
0.518 0.654 0.768 Cu
0.654 0.518 0.268 Cu
0.014 0.735 0.339 I
0.183 0.598 0.909 I
0.265 0.986 0.161 I
0.310 0.460 0.401 I
0.402 0.817 0.591 I
0.460 0.310 0.901 I
0.540 0.690 0.099 I
0.598 0.183 0.409 I
0.690 0.540 0.599 I
0.735 0.014 0.839 I
0.817 0.402 0.091 I
0.986 0.265 0.661 I
```

Peak list (10 most intense, 2θ from 15° to 90°, by intensity)
26.53°, I 100
26.41°, I 73
21.53°, I 41
28.95°, I 40
39.26°, I 40
40.06°, I 32
36.25°, I 31
22.60°, I 30
28.24°, I 26
42.36°, I 24

---

# 6
Simulated X-ray diffraction stick pattern
Compound: CsTl2Cu2I7
Radiation: Cu Kα
Structure: a cell relaxed with GGA-PBE
Kinematic intensities with the Lorentz-polarization factor, no thermal factor.

Crystal structure
```
CsTl2Cu2I7
1.0
3.726 2.151 12.471
-3.726 2.151 12.471
0.000 -4.302 12.471
Cs Tl Cu I
1 2 2 7
direct
0.000 0.000 0.000 Cs
0.193 0.193 0.193 Tl
0.807 0.807 0.807 Tl
0.428 0.428 0.428 Cu
0.572 0.572 0.572 Cu
0.075 0.418 0.747 I
0.253 0.582 0.925 I
0.418 0.747 0.075 I
0.500 0.500 0.500 I
0.582 0.925 0.253 I
0.747 0.075 0.418 I
0.925 0.253 0.582 I
```

Peak list (10 most intense, 2θ from 15° to 90°, by intensity)
27.89°, I 100
23.88°, I 48
42.01°, I 47
18.15°, I 35
24.94°, I 22
37.62°, I 21
27.56°, I 19
51.17°, I 18
68.28°, I 16
16.69°, I 16

---

# 7
Simulated X-ray diffraction stick pattern
Compound: CsInCuSe2
Radiation: Cu Kα
Structure: a cell relaxed with GGA-PBE
Kinematic intensities with the Lorentz-polarization factor, no thermal factor.

Crystal structure
```
CsInCuSe2
1.0
3.560 -7.363 0.000
3.560 7.363 0.000
0.000 0.000 6.343
Cs In Cu Se
2 2 2 4
direct
0.250 0.750 0.754 Cs
0.750 0.250 0.246 Cs
0.250 0.250 0.500 In
0.750 0.750 0.500 In
0.000 0.000 0.000 Cu
0.500 0.500 0.000 Cu
0.112 0.888 0.249 Se
0.388 0.612 0.249 Se
0.612 0.388 0.751 Se
0.888 0.112 0.751 Se
```

Peak list (10 most intense, 2θ from 15° to 90°, by intensity)
26.15°, I 100
37.96°, I 48
30.69°, I 39
44.79°, I 33
31.27°, I 30
25.01°, I 23
46.80°, I 22
35.91°, I 21
28.76°, I 20
48.60°, I 18

---

# 8
Simulated X-ray diffraction stick pattern
Compound: Cs2CuIrO6
Radiation: Cu Kα
Structure: a cell relaxed with GGA-PBE
Kinematic intensities with the Lorentz-polarization factor, no thermal factor.

Crystal structure
```
Cs2CuIrO6
1.0
6.459 0.000 0.000
-3.230 5.594 0.000
0.000 0.000 5.168
Cs Cu Ir O
2 1 1 6
direct
0.333 0.667 0.271 Cs
0.667 0.333 0.729 Cs
0.000 0.000 0.500 Cu
0.000 0.000 0.000 Ir
0.134 0.269 0.763 O
0.134 0.866 0.763 O
0.269 0.134 0.237 O
0.731 0.866 0.763 O
0.866 0.134 0.237 O
0.866 0.731 0.237 O
```

Peak list (10 most intense, 2θ from 15° to 90°, by intensity)
27.62°, I 100
23.44°, I 75
15.84°, I 45
38.37°, I 42
36.53°, I 41
56.22°, I 37
47.93°, I 32
46.40°, I 20
48.84°, I 19
57.03°, I 17